Diffraction record for Ba3CCl4O3. The powder X-ray diffraction pattern is theoretical, not measured: it uses a DFT-relaxed cell (PBE, the Materials Project) and Cu Kα (λ = 1.5418 Å).
Lines closer than 0.1° are merged.

```
Ba3CCl4O3
1.0
8.514 0.000 0.000
0.000 9.655 0.000
0.000 0.000 12.587
Ba C Cl O
12 4 16 12
direct
0.045 0.250 0.034
0.052 0.509 0.320
0.052 0.991 0.320
0.448 0.009 0.820
0.448 0.491 0.820
0.455 0.750 0.534
0.545 0.250 0.466
0.552 0.509 0.180
0.552 0.991 0.180
0.948 0.009 0.680
0.948 0.491 0.680
0.955 0.750 0.966
0.221 0.750 0.787
0.279 0.250 0.287
0.721 0.750 0.713
0.779 0.250 0.213
0.046 0.750 0.514
0.161 0.250 0.795
0.198 0.541 0.077
0.198 0.959 0.077
0.302 0.041 0.577
0.302 0.459 0.577
0.339 0.750 0.295
0.454 0.250 0.014
0.546 0.750 0.986
0.661 0.250 0.705
0.698 0.541 0.423
0.698 0.959 0.423
0.802 0.041 0.923
0.802 0.459 0.923
0.839 0.750 0.205
0.954 0.250 0.486
0.142 0.250 0.242
0.156 0.632 0.813
0.156 0.868 0.813
0.344 0.132 0.313
0.344 0.368 0.313
0.358 0.750 0.742
0.642 0.250 0.258
0.656 0.632 0.687
0.656 0.868 0.687
0.844 0.132 0.187
0.844 0.368 0.187
0.858 0.750 0.758
```

Largest 8 diffraction maxima, most intense first, 5 to 70 degrees two-theta:
| d (Å) | intensity |
| --- | --- |
| 2.848 | 100 |
| 3.984 | 70 |
| 3.764 | 69 |
| 3.830 | 48 |
| 2.414 | 40 |
| 2.099 | 38 |
| 2.968 | 38 |
| 4.257 | 37 |


Diffraction record for Cs3Ba4C3O9F5. The powder X-ray diffraction pattern is theoretical, not measured: it uses a DFT-relaxed cell (PBE, the Materials Project) and Cu Kα (λ = 1.5418 Å).
Lines closer than 0.1° are merged.

```
Cs3Ba4C3O9F5
1.0
11.688 0.000 0.000
-5.844 10.122 0.000
0.000 0.000 7.726
Cs Ba C O F
6 8 6 18 10
direct
0.122 0.244 0.000
0.122 0.878 0.000
0.244 0.122 0.500
0.756 0.878 0.000
0.878 0.122 0.500
0.878 0.756 0.500
0.074 0.537 0.336
0.333 0.667 0.792
0.463 0.537 0.336
0.463 0.926 0.336
0.537 0.074 0.836
0.537 0.463 0.836
0.667 0.333 0.292
0.926 0.463 0.836
0.198 0.396 0.568
0.198 0.802 0.568
0.396 0.198 0.068
0.604 0.802 0.568
0.802 0.198 0.068
0.802 0.604 0.068
0.111 0.416 0.649
0.111 0.696 0.649
0.181 0.362 0.405
0.181 0.819 0.405
0.304 0.416 0.649
0.304 0.889 0.649
0.362 0.181 0.905
0.416 0.111 0.149
0.416 0.304 0.149
0.584 0.696 0.649
0.584 0.889 0.649
0.638 0.819 0.405
0.696 0.111 0.149
0.696 0.584 0.149
0.819 0.181 0.905
0.819 0.638 0.905
0.889 0.304 0.149
0.889 0.584 0.149
0.000 0.000 0.243
0.000 0.000 0.743
0.144 0.572 0.016
0.333 0.667 0.429
0.428 0.572 0.016
0.428 0.856 0.016
0.572 0.144 0.516
0.572 0.428 0.516
0.667 0.333 0.929
0.856 0.428 0.516
```

Largest 8 diffraction maxima, most intense first, 5 to 70 degrees two-theta:
| d (Å) | intensity |
| --- | --- |
| 3.429 | 100 |
| 3.092 | 42 |
| 3.609 | 38 |
| 2.047 | 36 |
| 3.071 | 28 |
| 1.958 | 28 |
| 1.990 | 27 |
| 2.922 | 26 |


Diffraction record for Cs2Ba2C3O9. The powder X-ray diffraction pattern is theoretical, not measured: it uses a DFT-relaxed cell (PBE, the Materials Project) and Cu Kα (λ = 1.5418 Å).
Lines closer than 0.1° are merged.

```
Cs2Ba2C3O9
1.0
-5.258 5.258 5.258
5.258 -5.258 5.258
5.258 5.258 -5.258
Cs Ba C O
4 4 6 18
direct
0.000 0.120 0.500
0.120 0.500 0.000
0.380 0.380 0.380
0.500 0.000 0.120
0.000 0.583 0.500
0.500 0.000 0.583
0.583 0.500 0.000
0.917 0.917 0.917
0.091 0.841 0.250
0.250 0.091 0.841
0.409 0.659 0.750
0.659 0.750 0.409
0.750 0.409 0.659
0.841 0.250 0.091
0.136 0.763 0.340
0.160 0.923 0.796
0.215 0.965 0.250
0.250 0.215 0.965
0.285 0.535 0.750
0.340 0.136 0.763
0.364 0.704 0.627
0.535 0.750 0.285
0.577 0.737 0.873
0.627 0.364 0.704
0.704 0.627 0.364
0.737 0.873 0.577
0.750 0.285 0.535
0.763 0.340 0.136
0.796 0.160 0.923
0.873 0.577 0.737
0.923 0.796 0.160
0.965 0.250 0.215
```

Largest 8 diffraction maxima, most intense first, 5 to 70 degrees two-theta:
| d (Å) | intensity |
| --- | --- |
| 3.326 | 100 |
| 2.063 | 68 |
| 3.718 | 63 |
| 2.811 | 54 |
| 2.242 | 22 |
| 1.920 | 22 |
| 4.293 | 21 |
| 1.431 | 20 |


Copy entry 1 word for word.
Diffraction record for Ba3CCl4O3. The powder X-ray diffraction pattern is theoretical, not measured: it uses a DFT-relaxed cell (PBE, the Materials Project) and Cu Kα (λ = 1.5418 Å).
Lines closer than 0.1° are merged.

```
Ba3CCl4O3
1.0
8.514 0.000 0.000
0.000 9.655 0.000
0.000 0.000 12.587
Ba C Cl O
12 4 16 12
direct
0.045 0.250 0.034
0.052 0.509 0.320
0.052 0.991 0.320
0.448 0.009 0.820
0.448 0.491 0.820
0.455 0.750 0.534
0.545 0.250 0.466
0.552 0.509 0.180
0.552 0.991 0.180
0.948 0.009 0.680
0.948 0.491 0.680
0.955 0.750 0.966
0.221 0.750 0.787
0.279 0.250 0.287
0.721 0.750 0.713
0.779 0.250 0.213
0.046 0.750 0.514
0.161 0.250 0.795
0.198 0.541 0.077
0.198 0.959 0.077
0.302 0.041 0.577
0.302 0.459 0.577
0.339 0.750 0.295
0.454 0.250 0.014
0.546 0.750 0.986
0.661 0.250 0.705
0.698 0.541 0.423
0.698 0.959 0.423
0.802 0.041 0.923
0.802 0.459 0.923
0.839 0.750 0.205
0.954 0.250 0.486
0.142 0.250 0.242
0.156 0.632 0.813
0.156 0.868 0.813
0.344 0.132 0.313
0.344 0.368 0.313
0.358 0.750 0.742
0.642 0.250 0.258
0.656 0.632 0.687
0.656 0.868 0.687
0.844 0.132 0.187
0.844 0.368 0.187
0.858 0.750 0.758
```

Largest 8 diffraction maxima, most intense first, 5 to 70 degrees two-theta:
| d (Å) | intensity |
| --- | --- |
| 2.848 | 100 |
| 3.984 | 70 |
| 3.764 | 69 |
| 3.830 | 48 |
| 2.414 | 40 |
| 2.099 | 38 |
| 2.968 | 38 |
| 4.257 | 37 |